Computed X-ray powder pattern of SrAl3P2O14 for Cu Kα X-rays, from DFT lattice parameters and positions (GGA-PBE).
Kinematic intensities with the Lorentz-polarization factor, no thermal factor.

Structural model:
```
SrAl3P2O14
1.0
3.504 2.023 5.790
-3.504 2.023 5.790
0.000 -4.046 5.790
Sr Al P O
1 3 2 14
Direct
0.000 0.000 0.000 Sr
0.000 0.000 0.500 Al
0.000 0.500 0.000 Al
0.500 0.000 0.000 Al
0.307 0.307 0.307 P
0.693 0.693 0.693 P
0.088 0.749 0.749 O
0.156 0.156 0.516 O
0.156 0.516 0.156 O
0.251 0.251 0.912 O
0.251 0.912 0.251 O
0.396 0.396 0.396 O
0.484 0.844 0.844 O
0.516 0.156 0.156 O
0.604 0.604 0.604 O
0.749 0.088 0.749 O
0.749 0.749 0.088 O
0.844 0.484 0.844 O
0.844 0.844 0.484 O
0.912 0.251 0.251 O
```

The 12 most intense peaks (2θ from 10° to 90°), by angle:
| Position (°2θ) | I/Imax |
| --- | --- |
| 15.5 | 67 |
| 25.4 | 46 |
| 29.8 | 100 |
| 30.9 | 13 |
| 39.2 | 41 |
| 40.7 | 17 |
| 47.6 | 38 |
| 52.2 | 22 |
| 61.5 | 20 |
| 61.9 | 10 |
| 73.3 | 13 |
| 78.8 | 10 |

=====

Computed X-ray powder pattern of PaAl3O8 for Cu Kα X-rays, from DFT lattice parameters and positions (GGA-PBE).
Kinematic intensities with the Lorentz-polarization factor, no thermal factor.

Structural model:
```
PaAl3O8
1.0
5.958 -1.828 0.000
5.958 1.828 0.000
-0.437 0.000 6.509
Pa Al O
1 3 8
Direct
0.000 0.000 0.000 Pa
0.531 0.531 0.476 Al
0.696 0.696 0.816 Al
0.833 0.833 0.497 Al
0.003 0.003 0.472 O
0.178 0.178 0.914 O
0.363 0.363 0.490 O
0.532 0.532 0.793 O
0.535 0.535 0.185 O
0.683 0.683 0.537 O
0.848 0.848 0.798 O
0.854 0.854 0.218 O
```

The 12 most intense peaks (2θ from 10° to 90°), by angle:
| Position (°2θ) | I/Imax |
| --- | --- |
| 13.6 | 61 |
| 14.9 | 100 |
| 19.5 | 30 |
| 20.9 | 50 |
| 25.5 | 49 |
| 27.4 | 32 |
| 28.8 | 53 |
| 29.2 | 37 |
| 32.2 | 40 |
| 36.8 | 22 |
| 37.4 | 22 |
| 49.9 | 30 |

=====

Computed X-ray powder pattern of PuPaAl2O8 for Cu Kα X-rays, from DFT lattice parameters and positions (GGA-PBE).
Kinematic intensities with the Lorentz-polarization factor, no thermal factor.

Structural model:
```
PuPaAl2O8
1.0
2.464 1.423 6.968
-2.464 1.423 6.968
0.000 -2.845 6.968
Pu Pa Al O
1 1 2 8
Direct
0.000 0.000 0.000 Pu
0.500 0.500 0.500 Pa
0.254 0.254 0.254 Al
0.746 0.746 0.746 Al
0.096 0.413 0.795 O
0.205 0.587 0.904 O
0.337 0.337 0.337 O
0.413 0.795 0.096 O
0.587 0.904 0.205 O
0.663 0.663 0.663 O
0.795 0.096 0.413 O
0.904 0.205 0.587 O
```

The 12 most intense peaks (2θ from 10° to 90°), by angle:
| Position (°2θ) | I/Imax |
| --- | --- |
| 22.5 | 98 |
| 25.6 | 20 |
| 27.0 | 100 |
| 36.5 | 50 |
| 40.5 | 38 |
| 43.3 | 19 |
| 45.1 | 49 |
| 45.9 | 26 |
| 57.8 | 16 |
| 60.0 | 24 |
| 65.6 | 34 |
| 68.3 | 16 |

=====

Computed X-ray powder pattern of Rb2PaAl2O7 for Cu Kα X-rays, from DFT lattice parameters and positions (GGA-PBE).
Kinematic intensities with the Lorentz-polarization factor, no thermal factor.

Structural model:
```
Rb2PaAl2O7
1.0
-1.907 1.907 11.037
1.907 -1.907 11.037
1.907 1.907 -11.037
Rb Pa Al O
2 1 2 7
Direct
0.189 0.189 0.000 Rb
0.811 0.811 0.000 Rb
0.000 0.000 0.000 Pa
0.414 0.414 0.000 Al
0.586 0.586 0.000 Al
0.070 0.570 0.500 O
0.332 0.332 0.000 O
0.430 0.930 0.500 O
0.500 0.500 0.000 O
0.570 0.070 0.500 O
0.668 0.668 0.000 O
0.930 0.430 0.500 O
```

The 12 most intense peaks (2θ from 10° to 90°), by angle:
| Position (°2θ) | I/Imax |
| --- | --- |
| 16.1 | 25 |
| 23.7 | 51 |
| 24.2 | 22 |
| 31.0 | 100 |
| 33.2 | 49 |
| 37.1 | 18 |
| 41.5 | 42 |
| 47.7 | 29 |
| 51.5 | 13 |
| 53.7 | 23 |
| 53.9 | 12 |
| 58.0 | 35 |